No. 1
CeYBiSe: computed powder X-ray diffraction pattern (Cu Ka), based on a cell relaxed with GGA-PBE.
Peak positions follow from Bragg's law for the DFT cell and can differ from measured ones.

Top 8 peaks for 2θ = 10–90°, in order of falling intensity:
2θ/deg	I_rel	(hkl)
31.40	100	0 1 5
42.56	56	1 1 0
28.99	48	1 0 4
24.52	37	1 0 1
37.13	34	1 0 7
66.49	24	1 1 12
53.83	22	2 0 5
70.93	19	1 2 5

Structure:
```
data_CeYBiSe
_chemical_formula_sum 'Ce3 Y3 Bi3 Se3'
_cell_length_a 4.2483
_cell_length_b 4.2483
_cell_length_c 22.5151
_cell_angle_alpha 90.00
_cell_angle_beta 90.00
_cell_angle_gamma 120.00
_symmetry_space_group_name_H-M 'R 3 m'
_symmetry_Int_Tables_number 160
_symmetry_space_group_name_Hall 'R 3 -2"'
loop_
_atom_site_label
_atom_site_fract_x
_atom_site_fract_y
_atom_site_fract_z
Ce1 0.0000 0.0000 0.0000
Y1 0.0000 0.0000 0.8168
Bi1 0.0000 0.0000 0.2387
Se1 0.0000 0.0000 0.4140
```

---

No. 2
Pm5SmZn6: computed powder X-ray diffraction pattern (Cu Ka), based on a cell relaxed with GGA-PBE.
Peak positions follow from Bragg's law for the DFT cell and can differ from measured ones.

Top 8 peaks for 2θ = 10–90°, in order of falling intensity:
2θ/deg	I_rel	(hkl)
34.71	100	2 0 0
62.18	24	2 0 4
24.35	15	1 3 0
62.27	12	3 3 2
49.94	12	2 6 0
83.74	10	4 6 0
73.22	9	2 6 4
49.81	6	0 0 4

Structure:
```
data_Pm5SmZn6
_chemical_formula_sum 'Pm10 Sm2 Zn12'
_cell_length_a 5.1617
_cell_length_b 15.5050
_cell_length_c 7.3229
_cell_angle_alpha 90.00
_cell_angle_beta 90.00
_cell_angle_gamma 90.00
_symmetry_space_group_name_H-M 'C m m m'
_symmetry_Int_Tables_number 65
_symmetry_space_group_name_Hall '-C 2 2'
loop_
_atom_site_label
_atom_site_fract_x
_atom_site_fract_y
_atom_site_fract_z
Pm1 0.0000 0.0000 0.0000
Pm2 0.0000 0.3331 0.0000
Pm3 0.0000 0.3335 0.5000
Sm1 0.0000 0.0000 0.5000
Zn1 0.0000 0.1662 0.2507
Zn2 0.0000 0.5000 0.2510
```

---

No. 3
NaFeC2: computed powder X-ray diffraction pattern (Cu Ka), based on a cell relaxed with GGA-PBE.
Peak positions follow from Bragg's law for the DFT cell and can differ from measured ones.

Top 8 peaks for 2θ = 10–90°, in order of falling intensity:
2θ/deg	I_rel	(hkl)
31.69	100	1 1 2
20.45	61	1 0 1
37.42	31	2 0 0
63.94	23	3 1 2
52.46	22	2 0 4
66.20	14	2 2 4
61.25	13	1 1 6
35.41	10	0 0 4

Structure:
```
data_NaFeC2
_chemical_formula_sum 'Na4 Fe4 C8'
_cell_length_a 4.8070
_cell_length_b 4.8070
_cell_length_c 10.1409
_cell_angle_alpha 90.00
_cell_angle_beta 90.00
_cell_angle_gamma 90.00
_symmetry_space_group_name_H-M 'I 41/a m d'
_symmetry_Int_Tables_number 141
loop_
_symmetry_equiv_pos_as_xyz
'x,y,z'
'-x,-y,-z'
'-y+1/4,x+3/4,z+1/4'
'y+1/4,-x+3/4,-z+1/4'
'-x+1/2,-y,z+1/2'
'x+1/2,y,-z+1/2'
'y+1/4,-x+1/4,z+3/4'
'-y+1/4,x+1/4,-z+3/4'
'x,-y,-z'
'-x,y,z'
'-y+1/4,-x+1/4,-z+3/4'
'y+1/4,x+1/4,z+3/4'
'-x+1/2,y,-z+1/2'
'x+1/2,-y,z+1/2'
'y+1/4,x+3/4,-z+1/4'
'-y+1/4,-x+3/4,z+1/4'
'x+1/2,y+1/2,z+1/2'
'-x+1/2,-y+1/2,-z+1/2'
'-y+3/4,x+1/4,z+3/4'
'y+3/4,-x+1/4,-z+3/4'
'-x,-y+1/2,z'
'x,y+1/2,-z'
'y+3/4,-x+3/4,z+1/4'
'-y+3/4,x+3/4,-z+1/4'
'x+1/2,-y+1/2,-z+1/2'
'-x+1/2,y+1/2,z+1/2'
'-y+3/4,-x+3/4,-z+1/4'
'y+3/4,x+3/4,z+1/4'
'-x,y+1/2,-z'
'x,-y+1/2,z'
'y+3/4,x+1/4,-z+3/4'
'-y+3/4,-x+1/4,z+3/4'
loop_
_atom_site_label
_atom_site_fract_x
_atom_site_fract_y
_atom_site_fract_z
Na1 0.0000 0.2500 0.3750
Fe1 0.0000 0.2500 0.8750
C1 0.0000 0.0000 0.0000
```

---

What did the second record say?
Pm5SmZn6: computed powder X-ray diffraction pattern (Cu Ka), based on a cell relaxed with GGA-PBE.
Peak positions follow from Bragg's law for the DFT cell and can differ from measured ones.

Top 8 peaks for 2θ = 10–90°, in order of falling intensity:
2θ/deg	I_rel	(hkl)
34.71	100	2 0 0
62.18	24	2 0 4
24.35	15	1 3 0
62.27	12	3 3 2
49.94	12	2 6 0
83.74	10	4 6 0
73.22	9	2 6 4
49.81	6	0 0 4

Structure:
```
data_Pm5SmZn6
_chemical_formula_sum 'Pm10 Sm2 Zn12'
_cell_length_a 5.1617
_cell_length_b 15.5050
_cell_length_c 7.3229
_cell_angle_alpha 90.00
_cell_angle_beta 90.00
_cell_angle_gamma 90.00
_symmetry_space_group_name_H-M 'C m m m'
_symmetry_Int_Tables_number 65
_symmetry_space_group_name_Hall '-C 2 2'
loop_
_atom_site_label
_atom_site_fract_x
_atom_site_fract_y
_atom_site_fract_z
Pm1 0.0000 0.0000 0.0000
Pm2 0.0000 0.3331 0.0000
Pm3 0.0000 0.3335 0.5000
Sm1 0.0000 0.0000 0.5000
Zn1 0.0000 0.1662 0.2507
Zn2 0.0000 0.5000 0.2510
```